1.
Starting from a DFT-relaxed cell (GGA-PBE, the Materials Project), the powder diffractogram of LiPd2Au was calculated for Cu Kα.
Kinematic intensities with the Lorentz-polarization factor, no thermal factor.

Atomic structure:
```
LiPd2Au
1.0
6.325 0.000 0.000
0.000 6.325 0.000
0.000 0.000 6.325
Li Pd Au
4 8 4
direct
0.000 0.000 0.000
0.000 0.500 0.500
0.500 0.000 0.500
0.500 0.500 0.000
0.250 0.250 0.250
0.250 0.250 0.750
0.250 0.750 0.250
0.250 0.750 0.750
0.750 0.250 0.250
0.750 0.250 0.750
0.750 0.750 0.250
0.750 0.750 0.750
0.000 0.000 0.500
0.000 0.500 0.000
0.500 0.000 0.000
0.500 0.500 0.500
```

Principal peaks in the range 10° ≤ 2θ ≤ 90°, by intensity:
2θ/deg  Rel. int.
40.33  100
24.38  52
73.33  34
47.69  27
58.36  17
87.18  11
64.19  11
78.60  8

2.
Starting from a DFT-relaxed cell (GGA-PBE, the Materials Project), the powder diffractogram of Tb2Co7 was calculated for Cu Kα.
Kinematic intensities with the Lorentz-polarization factor, no thermal factor.

Atomic structure:
```
Tb2Co7
1.0
2.482 1.433 12.024
-2.482 1.433 12.024
0.000 -2.866 12.024
Tb Co
4 14
direct
0.052 0.052 0.052
0.148 0.148 0.148
0.852 0.852 0.852
0.948 0.948 0.948
0.000 0.500 0.500
0.109 0.609 0.609
0.279 0.279 0.279
0.388 0.388 0.388
0.391 0.391 0.891
0.391 0.891 0.391
0.500 0.000 0.500
0.500 0.500 0.000
0.500 0.500 0.500
0.609 0.109 0.609
0.609 0.609 0.109
0.612 0.612 0.612
0.721 0.721 0.721
0.891 0.391 0.391
```

Principal peaks in the range 10° ≤ 2θ ≤ 90°, by intensity:
2θ/deg  Rel. int.
42.85  100
36.19  49
32.40  44
42.11  35
34.40  32
69.68  22
76.80  20
45.25  15
62.71  13
67.83  11

3.
Starting from a DFT-relaxed cell (GGA-PBE, the Materials Project), the powder diffractogram of Sr3Ca was calculated for Cu Kα.
Kinematic intensities with the Lorentz-polarization factor, no thermal factor.

Atomic structure:
```
Sr3Ca
1.0
8.345 0.000 0.000
-4.172 7.227 0.000
0.000 0.000 6.847
Sr Ca
6 2
direct
0.169 0.338 0.250
0.169 0.831 0.250
0.338 0.169 0.750
0.662 0.831 0.250
0.831 0.169 0.750
0.831 0.662 0.750
0.333 0.667 0.750
0.667 0.333 0.250
```

Principal peaks in the range 10° ≤ 2θ ≤ 90°, by intensity:
2θ/deg  Rel. int.
27.92  100
26.03  27
51.28  24
47.09  23
24.64  23
43.37  20
52.37  17
36.14  17
70.28  14
82.27  9

4.
Starting from a DFT-relaxed cell (GGA-PBE, the Materials Project), the powder diffractogram of NaCaYS3O12 was calculated for Cu Kα.
Kinematic intensities with the Lorentz-polarization factor, no thermal factor.

Atomic structure:
```
NaCaYS3O12
1.0
4.599 2.655 8.085
-4.599 2.655 8.085
0.000 -5.311 8.085
Na Ca Y S O
2 2 2 6 24
direct
0.000 0.000 0.000
0.500 0.500 0.500
0.353 0.353 0.353
0.853 0.853 0.853
0.151 0.151 0.151
0.651 0.651 0.651
0.047 0.752 0.458
0.252 0.547 0.958
0.458 0.047 0.752
0.547 0.958 0.252
0.752 0.458 0.047
0.958 0.252 0.547
0.017 0.781 0.608
0.068 0.912 0.293
0.098 0.709 0.932
0.108 0.281 0.517
0.209 0.598 0.432
0.226 0.393 0.988
0.281 0.517 0.108
0.293 0.068 0.912
0.393 0.988 0.226
0.412 0.568 0.793
0.432 0.209 0.598
0.488 0.893 0.726
0.517 0.108 0.281
0.568 0.793 0.412
0.598 0.432 0.209
0.608 0.017 0.781
0.709 0.932 0.098
0.726 0.488 0.893
0.781 0.608 0.017
0.793 0.412 0.568
0.893 0.726 0.488
0.912 0.293 0.068
0.932 0.098 0.709
0.988 0.226 0.393
```

Principal peaks in the range 10° ≤ 2θ ≤ 90°, by intensity:
2θ/deg  Rel. int.
22.24  100
29.42  64
13.30  32
19.30  28
33.76  26
18.39  26
26.78  25
45.37  23
52.65  17
48.18  15

5.
Starting from a DFT-relaxed cell (GGA-PBE, the Materials Project), the powder diffractogram of TmRh2Pb was calculated for Cu Kα.
Kinematic intensities with the Lorentz-polarization factor, no thermal factor.

Atomic structure:
```
TmRh2Pb
1.0
6.703 0.000 0.000
0.000 6.703 0.000
0.000 0.000 6.703
Tm Rh Pb
4 8 4
direct
0.000 0.000 0.000
0.000 0.500 0.500
0.500 0.000 0.500
0.500 0.500 0.000
0.250 0.250 0.250
0.250 0.250 0.750
0.250 0.750 0.250
0.250 0.750 0.750
0.750 0.250 0.250
0.750 0.250 0.750
0.750 0.750 0.250
0.750 0.750 0.750
0.000 0.000 0.500
0.000 0.500 0.000
0.500 0.000 0.000
0.500 0.500 0.500
```

Principal peaks in the range 10° ≤ 2θ ≤ 90°, by intensity:
2θ/deg  Rel. int.
37.96  100
68.58  35
54.78  17
81.17  11
26.59  9
61.90  4
46.95  3
87.26  2
22.98  1
44.84  1

6.
Starting from a DFT-relaxed cell (GGA-PBE, the Materials Project), the powder diffractogram of VNi4N4 was calculated for Cu Kα.
Kinematic intensities with the Lorentz-polarization factor, no thermal factor.

Atomic structure:
```
VNi4N4
1.0
4.855 0.000 0.000
0.860 5.075 0.000
0.966 0.807 7.636
V Ni N
2 8 8
direct
0.224 0.359 0.249
0.776 0.641 0.751
0.131 0.186 0.656
0.246 0.549 0.902
0.256 0.942 0.105
0.281 0.674 0.565
0.719 0.326 0.435
0.744 0.058 0.895
0.754 0.451 0.098
0.869 0.814 0.344
0.042 0.663 0.139
0.052 0.848 0.744
0.329 0.346 0.471
0.461 0.248 0.046
0.539 0.752 0.954
0.671 0.654 0.529
0.948 0.152 0.256
0.958 0.337 0.861
```

Principal peaks in the range 10° ≤ 2θ ≤ 90°, by intensity:
2θ/deg  Rel. int.
36.33  100
36.13  54
45.52  52
28.37  51
37.81  42
47.86  36
39.35  33
30.04  19
58.22  18
38.29  17